Cs3Sn4Br12: simulated powder diffraction line list (Cu Kα X-rays), based on the PBE geometry in Alexandria.
Intensities are scaled so that the largest is 1000.

Principal peaks in the range 10 to 80 degrees two-theta, in order of falling intensity:
two_theta, Rel. int.
30.87, 1000
44.22, 729
26.65, 453
21.70, 409
73.05, 325
15.30, 280

Structure:
Cell lengths 10.0335, 10.0335, 10.0335 Å; angles 109.47, 109.47, 109.47 degrees
Atoms (fractional coordinates):
Cs1 0.0000 0.5000 0.5000
Cs2 0.5000 0.0000 0.5000
Cs3 0.5000 0.5000 0.0000
Sn1 0.0000 0.0000 0.5000
Sn2 0.0000 0.5000 0.0000
Sn3 0.5000 0.0000 0.0000
Sn4 0.5000 0.5000 0.5000
Br1 0.0071 0.7489 0.2582
Br2 0.2511 0.2582 0.5093
Br3 0.2511 0.7418 0.9929
Br4 0.2582 0.0071 0.7489
Br5 0.2582 0.5093 0.2511
Br6 0.4907 0.7489 0.7418
Br7 0.5093 0.2511 0.2582
Br8 0.7418 0.4907 0.7489
Br9 0.7418 0.9929 0.2511
Br10 0.7489 0.2582 0.0071
Br11 0.7489 0.7418 0.4907
Br12 0.9929 0.2511 0.7418


CsSn3Br7: simulated powder diffraction line list (Cu Kα X-rays), based on the PBE geometry in Alexandria.
Intensities are scaled so that the largest is 1000.

Principal peaks in the range 10 to 80 degrees two-theta, in order of falling intensity:
two_theta, Rel. int.
30.01, 1000
26.45, 704
40.04, 317
20.33, 288
32.76, 284
42.58, 241

Structure:
Cell lengths 7.3751, 7.3751, 7.5555 Å; angles 100.70, 100.70, 95.68 degrees
Atoms (fractional coordinates):
Cs1 0.0000 0.0000 0.0000
Sn1 0.2754 0.7246 0.5000
Sn2 0.5000 0.5000 0.0000
Sn3 0.7246 0.2754 0.5000
Br1 0.0000 0.0000 0.5000
Br2 0.1257 0.5272 0.7707
Br3 0.3516 0.3516 0.2952
Br4 0.4728 0.8743 0.2293
Br5 0.5272 0.1257 0.7707
Br6 0.6484 0.6484 0.7048
Br7 0.8743 0.4728 0.2293


CsTlSn2Br6: simulated powder diffraction line list (Cu Kα X-rays), based on the PBE geometry in Alexandria.
Intensities are scaled so that the largest is 1000.

Principal peaks in the range 10 to 80 degrees two-theta, in order of falling intensity:
two_theta, Rel. int.
27.24, 1000
21.48, 996
30.37, 805
18.98, 680
33.68, 546
36.77, 515

Structure:
Cell lengths 10.2529, 10.2529, 11.7973 Å; angles 121.90, 121.90, 59.82 degrees
Atoms (fractional coordinates):
Cs1 0.1592 0.8408 0.7500
Cs2 0.8408 0.1592 0.2500
Tl1 0.3257 0.6743 0.2500
Tl2 0.6743 0.3257 0.7500
Sn1 0.2763 0.2850 0.2930
Sn2 0.2850 0.2763 0.7930
Sn3 0.7150 0.7237 0.2070
Sn4 0.7237 0.7150 0.7070
Br1 0.0017 0.7743 0.3214
Br2 0.1443 0.6057 0.8978
Br3 0.2257 0.9983 0.1786
Br4 0.2610 0.3855 0.5569
Br5 0.3855 0.2610 0.0569
Br6 0.3943 0.8557 0.6022
Br7 0.6057 0.1443 0.3978
Br8 0.6145 0.7390 0.9431
Br9 0.7390 0.6145 0.4431
Br10 0.7743 0.0017 0.8214
Br11 0.8557 0.3943 0.1022
Br12 0.9983 0.2257 0.6786


Cs2TlSn2Br7: simulated powder diffraction line list (Cu Kα X-rays), based on the PBE geometry in Alexandria.
Intensities are scaled so that the largest is 1000.

Principal peaks in the range 10 to 80 degrees two-theta, in order of falling intensity:
two_theta, Rel. int.
30.54, 1000
28.12, 699
21.46, 559
43.44, 524
21.33, 474
43.73, 370

Structure:
Cell lengths 5.8546, 5.8546, 15.3914 Å; angles 100.94, 100.94, 90.00 degrees
Atoms (fractional coordinates):
Cs1 0.1793 0.1793 0.3593
Cs2 0.8207 0.8207 0.6407
Tl1 0.0000 0.0000 0.0000
Sn1 0.4001 0.4001 0.8012
Sn2 0.5999 0.5999 0.1988
Br1 0.0938 0.5938 0.1867
Br2 0.3005 0.3005 0.6029
Br3 0.4062 0.9062 0.8133
Br4 0.5000 0.5000 0.0000
Br5 0.5938 0.0938 0.1867
Br6 0.6995 0.6995 0.3971
Br7 0.9062 0.4062 0.8133


Cs4Tl3SnBr8: simulated powder diffraction line list (Cu Kα X-rays), based on the PBE geometry in Alexandria.
Intensities are scaled so that the largest is 1000.

Principal peaks in the range 10 to 80 degrees two-theta, in order of falling intensity:
two_theta, Rel. int.
25.72, 1000
24.27, 586
36.61, 553
34.66, 457
44.59, 222
36.82, 220

Structure:
Cell lengths 9.8349, 9.8349, 9.8571 Å; angles 116.39, 116.39, 59.52 degrees
Atoms (fractional coordinates):
Cs1 0.0000 0.0000 0.0000
Cs2 0.0000 0.5000 0.5000
Cs3 0.5000 0.0000 0.5000
Cs4 0.5000 0.5000 0.0000
Tl1 0.0000 0.0000 0.5000
Tl2 0.0000 0.5000 0.0000
Tl3 0.5000 0.0000 0.0000
Sn1 0.5000 0.5000 0.5000
Br1 0.2336 0.2336 0.2146
Br2 0.2429 0.2429 0.7576
Br3 0.2557 0.7226 0.2716
Br4 0.2774 0.7443 0.7284
Br5 0.7226 0.2557 0.2716
Br6 0.7443 0.2774 0.7284
Br7 0.7571 0.7571 0.2424
Br8 0.7664 0.7664 0.7854


CsTl2Sn2Br7: simulated powder diffraction line list (Cu Kα X-rays), based on the PBE geometry in Alexandria.
Intensities are scaled so that the largest is 1000.

Principal peaks in the range 10 to 80 degrees two-theta, in order of falling intensity:
two_theta, Rel. int.
30.37, 1000
26.99, 655
21.74, 646
21.34, 584
18.22, 512
34.53, 505

Structure:
Cell lengths 13.7394, 13.7394, 13.7394 Å; angles 155.27, 37.57, 152.17 degrees
Atoms (fractional coordinates):
Cs1 0.0000 0.0000 0.0000
Tl1 0.2055 0.4883 0.7172
Tl2 0.7711 0.4883 0.2828
Sn1 0.4303 0.0397 0.3906
Sn2 0.6491 0.0397 0.6094
Br1 0.0398 0.6324 0.4074
Br2 0.2250 0.6324 0.5926
Br3 0.2484 0.9762 0.2722
Br4 0.4744 0.5855 0.8890
Br5 0.6294 0.1294 0.5000
Br6 0.6965 0.5855 0.1110
Br7 0.7040 0.9762 0.7278